No. 1
V6O11: calculated PXRD pattern (λ = 1.5418 Å (Cu Kα)), based on a PBE+U-relaxed structure.
Neutral-atom scattering factors, no anomalous dispersion.

Largest 12 diffraction maxima, by intensity, 10 to 90 degrees two-theta:
| Position (°2θ) | I (rel.) | hkl |
| --- | --- | --- |
| 30.18 | 100 | 1 0 3 |
| 26.58 | 81 | 1 2 0 |
| 28.85 | 76 | 1 2 -1 |
| 34.37 | 48 | 2 0 0 |
| 35.37 | 47 | 1 0 -3 |
| 54.46 | 45 | 2 -2 3 |
| 35.66 | 42 | 1 -2 0 |
| 22.94 | 42 | 1 0 2 |
| 53.70 | 35 | 3 2 -1 |
| 54.55 | 34 | 1 4 2 |
| 56.40 | 33 | 2 4 -1 |
| 62.16 | 32 | -2 2 3 |

Structural model:
```
V6O11
1.0
5.5585 0.0000 0.0000
2.1640 6.8009 0.0000
1.6414 -0.3606 9.5856
V O
12 22
Direct
0.1761 0.3046 0.0687
0.1839 0.8014 0.0648
0.2317 0.8587 0.4132
0.2415 0.3570 0.4247
0.3002 0.4320 0.7647
0.3095 0.9216 0.7545
0.6905 0.0784 0.2455
0.6998 0.5680 0.2353
0.7585 0.6430 0.5753
0.7683 0.1413 0.5868
0.8161 0.1986 0.9352
0.8239 0.6954 0.9313
0.0189 0.0900 0.1068
0.0777 0.4166 0.2410
0.0962 0.6384 0.4741
0.1245 0.9842 0.6135
0.1782 0.2057 0.8600
0.2088 0.5483 0.9658
0.3352 0.7419 0.2102
0.3650 0.0805 0.3498
0.4055 0.3018 0.5763
0.4381 0.6450 0.7002
0.4734 0.8295 0.9268
0.5266 0.1705 0.0732
0.5619 0.3550 0.2998
0.5945 0.6982 0.4237
0.6350 0.9195 0.6502
0.6648 0.2581 0.7898
0.7912 0.4517 0.0342
0.8218 0.7943 0.1400
0.8755 0.0158 0.3865
0.9038 0.3616 0.5259
0.9223 0.5834 0.7590
0.9811 0.9100 0.8932
```

---

No. 2
Li4V3Fe2O10: calculated PXRD pattern (λ = 1.5418 Å (Cu Kα)), based on a PBE+U-relaxed structure.
Neutral-atom scattering factors, no anomalous dispersion.

Largest 12 diffraction maxima, by intensity, 10 to 90 degrees two-theta:
| Position (°2θ) | I (rel.) | hkl |
| --- | --- | --- |
| 21.46 | 100 | 0 1 1 |
| 23.84 | 42 | 1 0 -2 |
| 31.92 | 41 | 1 -2 0 |
| 24.59 | 30 | 1 -1 1 |
| 28.68 | 27 | 1 1 -2 |
| 17.74 | 26 | 1 0 -1 |
| 15.77 | 24 | 0 1 0 |
| 51.58 | 24 | 2 1 -4 |
| 41.76 | 22 | 1 1 2 |
| 38.03 | 20 | -1 1 3 |
| 24.37 | 20 | 1 0 1 |
| 38.92 | 19 | 1 2 -1 |

Structural model:
```
Li4V3Fe2O10
1.0
5.3766 0.0000 0.0000
-1.3149 5.7663 0.0000
-2.4537 -1.7910 7.8006
Li V Fe O
4 3 2 10
Direct
0.0000 0.0000 0.0000
0.1266 0.2574 0.3084
0.4264 0.9370 0.8424
0.7784 0.4317 0.0932
0.1564 0.8346 0.4692
0.2532 0.4829 0.9366
0.7620 0.0587 0.5769
0.5472 0.0319 0.2033
0.7616 0.6320 0.7267
0.0226 0.5600 0.3339
0.0457 0.8765 0.6769
0.2043 0.7527 0.0178
0.2852 0.3060 0.0822
0.4031 0.0768 0.4035
0.5100 0.8196 0.6310
0.5519 0.5351 0.8877
0.7271 0.1012 0.0444
0.8905 0.0104 0.3903
0.9513 0.3602 0.7478
```